Entry 1:
Structure and computed powder diffractogram of Ce2Er3Tm8 (a cell relaxed with GGA-PBE; Cu Kα, 1.54184 Å).
No peak broadening, texture or thermal motion is included.

Most intense lines, 2θ = 15–90°, most intense first:
2theta  I/Imax
32.4  100.0
32.6  92.9
31.7  77.1
34.0  75.2
29.5  68.1
35.6  35.5
33.5  34.5
36.0  33.1

Structural model:
```
13
Lattice="7.271 -4.518 0.000 7.271 4.518 0.000 -2.121 0.000 6.362" Properties=species:S:1:pos:R:3 pbc="T T T"
Ce 2.271 0.000 2.636
Ce 10.150 0.000 3.725
Er 0.000 0.000 0.000
Er 6.211 2.952 3.181
Er 6.211 -2.952 3.181
Tm 0.893 0.000 5.658
Tm 3.814 1.650 5.242
Tm 5.508 0.000 1.730
Tm 8.608 1.650 1.119
Tm 3.814 -1.650 5.242
Tm 6.914 0.000 4.631
Tm 8.608 -1.650 1.119
Tm 11.529 0.000 0.704
```

Entry 2:
Structure and computed powder diffractogram of CeErTm (a cell relaxed with GGA-PBE; Cu Kα, 1.54184 Å).
No peak broadening, texture or thermal motion is included.

Most intense lines, 2θ = 15–90°, most intense first:
2theta  I/Imax
31.9  100.0
31.4  81.0
33.9  62.8
34.5  38.3
49.1  30.6
63.5  27.8
59.3  17.1
60.5  16.6

Structural model:
```
6
Lattice="3.434 0.000 0.000 0.000 5.293 0.000 -1.713 0.000 9.942" Properties=species:S:1:pos:R:3 pbc="T T T"
Ce 0.003 1.323 4.165
Ce 1.718 3.970 5.777
Er 0.005 1.323 7.631
Er 1.716 3.970 2.311
Tm -0.007 1.323 0.837
Tm 1.728 3.970 9.105
```

Entry 3:
Structure and computed powder diffractogram of CeErTm6 (a cell relaxed with GGA-PBE; Cu Kα, 1.54184 Å).
No peak broadening, texture or thermal motion is included.

Most intense lines, 2θ = 15–90°, most intense first:
2theta  I/Imax
33.2  100.0
33.6  66.8
32.7  62.5
32.9  50.6
30.5  35.1
28.4  34.2
34.8  25.1
59.8  24.3

Structural model:
```
16
Lattice="8.679 0.000 0.000 0.000 9.180 0.000 -0.879 0.000 6.288" Properties=species:S:1:pos:R:3 pbc="T T T"
Ce 0.000 0.000 0.000
Ce 4.339 4.590 0.000
Er -0.440 0.000 3.144
Er 3.900 4.590 3.144
Tm 1.141 4.590 1.250
Tm 0.819 2.931 4.449
Tm 0.819 6.250 4.449
Tm 2.641 1.660 1.838
Tm 2.641 7.521 1.838
Tm 2.319 0.000 5.038
Tm 5.480 0.000 1.250
Tm 5.159 1.660 4.449
Tm 5.159 7.521 4.449
Tm 6.980 2.931 1.838
Tm 6.980 6.250 1.838
Tm 6.659 4.590 5.038
```